No. 1
Computed PXRD pattern
Compound: BaCa
Radiation: Cu Kα X-rays
Structure: a DFT-relaxed cell (GGA-PBE, Alexandria)

Most intense lines, 2θ from 10° to 90°, in order of rising 2θ:
hkl  2theta  I/Imax
0 2 0  17.11  31
2 0 0  19.16  33
0 0 1  20.23  26
2 2 0  25.79  100
0 2 1  26.61  97
2 0 1  28.01  91
2 2 1  33.00  28
2 4 1  45.09  29
4 2 1  47.74  31
2 2 2  49.19  33

Crystal structure
Cell lengths 9.264, 10.367, 4.389 Å; angles 90.00, 90.00, 90.00 degrees
Space group Cmmm (No. 65)
Unique sites:
Ba: 0.000 0.220 0.000 [4 per cell]
Ca: 0.215 0.500 0.500 [4 per cell]

=====

No. 2
Computed PXRD pattern
Compound: Tl3In5Hg4
Radiation: Cu Kα X-rays
Structure: a DFT-relaxed cell (GGA-PBE, Alexandria)

Most intense lines, 2θ from 10° to 90°, in order of rising 2θ:
hkl  2theta  I/Imax
0 2 -2  31.66  100
0 1 2  32.16  97
-2 2 1  32.22  96
2 1 -1  33.84  85
2 -1 1  34.53  77
2 0 -3  35.81  72
0 3 0  42.30  48
0 1 -4  49.02  29
-4 1 2  52.14  24
2 -4 1  54.31  21

Crystal structure
Cell lengths 7.030, 7.035, 8.113 Å; angles 97.65, 113.60, 107.71 degrees
Space group P-1 (No. 2)
Unique sites:
Tl: 0.000 0.000 0.000 [1 per cell]
Tl: 0.479 0.665 0.655 [2 per cell]
In: 0.233 0.003 0.503 [2 per cell]
In: 0.253 0.665 0.172 [2 per cell]
In: 0.500 0.000 0.000 [1 per cell]
Hg: 0.010 0.666 0.680 [2 per cell]
Hg: 0.255 0.337 0.841 [2 per cell]

=====

Repeat the first record exactly.
Computed PXRD pattern
Compound: BaCa
Radiation: Cu Kα X-rays
Structure: a DFT-relaxed cell (GGA-PBE, Alexandria)

Most intense lines, 2θ from 10° to 90°, in order of rising 2θ:
hkl  2theta  I/Imax
0 2 0  17.11  31
2 0 0  19.16  33
0 0 1  20.23  26
2 2 0  25.79  100
0 2 1  26.61  97
2 0 1  28.01  91
2 2 1  33.00  28
2 4 1  45.09  29
4 2 1  47.74  31
2 2 2  49.19  33

Crystal structure
Cell lengths 9.264, 10.367, 4.389 Å; angles 90.00, 90.00, 90.00 degrees
Space group Cmmm (No. 65)
Unique sites:
Ba: 0.000 0.220 0.000 [4 per cell]
Ca: 0.215 0.500 0.500 [4 per cell]